The following is a simulated X-ray powder pattern of Hf2Cu3W4C3. It was derived from the GGA-PBE geometry in OQMD, using Cu Kα (λ = 1.5418 Å).

Principal peaks in the range 10 to 80 degrees two-theta, in order of rising 2θ:
- 2θ = 13.4°, rel. 41.7
- 2θ = 27.0°, rel. 28.6
- 2θ = 33.6°, rel. 62.7
- 2θ = 34.3°, rel. 83.0
- 2θ = 39.4°, rel. 100.0
- 2θ = 39.5°, rel. 98.1
- 2θ = 39.6°, rel. 92.5
- 2θ = 41.0°, rel. 50.7
- 2θ = 43.5°, rel. 17.7
- 2θ = 60.1°, rel. 58.8
- 2θ = 67.2°, rel. 19.4
- 2θ = 71.0°, rel. 15.8

Atomic structure:
Unit cell a=5.3364 b=5.3364 c=13.5816 alpha=101.70 beta=101.70 gamma=59.99
Fractional positions:
Hf  0.0398  0.8775  0.6142
Hf  0.1225  0.9602  0.8858
Hf  0.8775  0.0398  0.1142
Hf  0.9602  0.1225  0.3858
Cu  0.0859  0.3871  0.7516
Cu  0.3871  0.0859  0.2516
Cu  0.4405  0.5595  0.2500
Cu  0.5595  0.4405  0.7500
Cu  0.6129  0.9141  0.7484
Cu  0.9141  0.6129  0.2484
W  0.1946  0.3540  0.0831
W  0.2962  0.4804  0.4170
W  0.3540  0.1946  0.5831
W  0.4804  0.2962  0.9170
W  0.5196  0.7038  0.0830
W  0.6460  0.8054  0.4169
W  0.7038  0.5196  0.5830
W  0.8054  0.6460  0.9169
C  0.0000  0.5000  0.5000
C  0.1632  0.6734  0.0000
C  0.3266  0.8368  0.5000
C  0.5000  0.0000  0.0000
C  0.6734  0.1632  0.5000
C  0.8368  0.3266  0.0000

---

The following is a simulated X-ray powder pattern of Y2ReSi2MoC. It was derived from the GGA-PBE geometry in OQMD, using Cu Kα (λ = 1.5418 Å).

Principal peaks in the range 10 to 80 degrees two-theta, in order of rising 2θ:
- 2θ = 15.6°, rel. 49.6
- 2θ = 19.9°, rel. 15.9
- 2θ = 26.2°, rel. 19.4
- 2θ = 32.0°, rel. 42.8
- 2θ = 33.6°, rel. 93.1
- 2θ = 35.4°, rel. 100.0
- 2θ = 38.2°, rel. 28.2
- 2θ = 40.2°, rel. 30.8
- 2θ = 46.8°, rel. 27.3
- 2θ = 56.9°, rel. 16.3
- 2θ = 57.9°, rel. 21.8
- 2θ = 63.4°, rel. 15.9

Atomic structure:
Unit cell a=5.8623 b=5.8623 c=7.0684 alpha=124.04 beta=124.04 gamma=38.64
Fractional positions:
Y  0.0000  0.0000  0.0000
Y  0.1478  0.1478  0.5979
Re  0.3673  0.3673  0.2112
Si  0.4430  0.4430  0.6284
Si  0.7150  0.7150  0.9721
Mo  0.7786  0.7786  0.3820
C  0.5717  0.5717  0.2962

---

The following is a simulated X-ray powder pattern of Ni. It was derived from the GGA-PBE geometry in OQMD, using Cu Kα (λ = 1.5418 Å).

Principal peaks in the range 10 to 80 degrees two-theta, in order of rising 2θ:
- 2θ = 45.0°, rel. 100.0
- 2θ = 52.2°, rel. 15.7
- 2θ = 52.5°, rel. 30.6
- 2θ = 77.2°, rel. 17.8
- 2θ = 77.5°, rel. 8.8

Atomic structure:
Unit cell a=2.4722 b=2.4722 c=2.4722 alpha=120.22 beta=120.22 gamma=89.62
Fractional positions:
Ni  0.0000  0.0000  0.0000

---

The following is a simulated X-ray powder pattern of PrGaGePtAu. It was derived from the GGA-PBE geometry in OQMD, using Cu Kα (λ = 1.5418 Å).

Principal peaks in the range 10 to 80 degrees two-theta, in order of rising 2θ:
- 2θ = 26.3°, rel. 17.1
- 2θ = 30.0°, rel. 19.6
- 2θ = 32.3°, rel. 41.6
- 2θ = 33.4°, rel. 100.0
- 2θ = 41.2°, rel. 63.3
- 2θ = 44.7°, rel. 33.5
- 2θ = 47.2°, rel. 27.3
- 2θ = 53.4°, rel. 20.2
- 2θ = 59.8°, rel. 28.6
- 2θ = 64.5°, rel. 20.9
- 2θ = 70.2°, rel. 28.9
- 2θ = 77.6°, rel. 12.9

Atomic structure:
Unit cell a=4.3781 b=4.3781 c=10.7158 alpha=90.00 beta=90.00 gamma=90.00
Fractional positions:
Pr  0.2500  0.2500  0.2388
Pr  0.7500  0.7500  0.7612
Ga  0.2500  0.2500  0.8788
Ga  0.7500  0.7500  0.1212
Ge  0.2500  0.7500  0.5000
Ge  0.7500  0.2500  0.5000
Pt  0.2500  0.7500  0.0000
Pt  0.7500  0.2500  0.0000
Au  0.2500  0.2500  0.6429
Au  0.7500  0.7500  0.3571